Record 1
Computed PXRD pattern
Compound: Y2Tm3Sc8
Radiation: Cu Kα (weighted mean of Kα1 and Kα2)
Structure: a cell relaxed with PBE

Top 12 peaks for 2θ = 10–90°, low angle first:
2θ/deg	I_rel
17.79	20
19.32	19
21.66	16
26.48	19
30.94	31
31.71	14
32.00	22
34.65	33
35.43	100
36.04	20
50.86	14
62.61	18

Structure:
```
Y2Tm3Sc8
1.0
9.9696 -3.5756 0.0000
9.9696 3.5756 0.0000
-0.0023 0.0000 5.1769
Y Tm Sc
2 3 8
Cartesian
4.7763 0.0000 2.5831
15.1606 0.0000 2.5938
-0.0012 0.0000 2.5884
9.9696 1.5355 0.0000
9.9696 -1.5355 0.0000
2.5488 0.0000 5.1755
7.8090 1.4983 2.5868
6.7675 0.0000 5.1729
12.1278 1.4983 2.5901
7.8090 -1.4983 2.5868
13.1694 0.0000 0.0040
12.1278 -1.4983 2.5901
17.3881 0.0000 0.0014
```


Record 2
Computed PXRD pattern
Compound: YTm4Sc
Radiation: Cu Kα (weighted mean of Kα1 and Kα2)
Structure: a cell relaxed with PBE

Top 12 peaks for 2θ = 10–90°, low angle first:
2θ/deg	I_rel
18.83	10
29.16	24
32.62	24
33.51	100
44.31	15
51.70	19
58.77	20
62.48	22
62.99	11
63.09	5
82.05	8
85.84	9

Structure:
```
YTm4Sc
1.0
5.4908 0.0000 0.0000
0.0000 1.7700 9.1777
0.0000 -1.7700 9.1777
Y Tm Sc
1 4 1
Cartesian
0.0000 0.0000 0.0000
0.0000 0.0000 6.0606
0.0000 0.0000 12.2682
2.7454 0.0000 10.2389
2.7454 0.0000 16.2476
2.7454 0.0000 4.0741
```


Record 3
Computed PXRD pattern
Compound: YTm5Sc2
Radiation: Cu Kα (weighted mean of Kα1 and Kα2)
Structure: a cell relaxed with PBE

Top 12 peaks for 2θ = 10–90°, low angle first:
2θ/deg	I_rel
14.58	7
21.90	11
29.36	26
32.85	24
33.74	100
44.63	16
52.00	8
52.11	13
59.22	20
62.95	22
63.45	11
86.57	9

Structure:
```
YTm5Sc2
1.0
0.0000 5.4527 6.0762
3.5175 0.0000 6.0762
3.5175 5.4527 0.0000
Y Tm Sc
1 5 2
Cartesian
0.0000 0.0000 0.0000
5.2790 5.4527 3.0731
1.7588 2.7263 1.0304
3.5175 5.4527 6.0818
1.7560 5.4527 3.0731
5.2763 8.1790 7.1066
3.5175 2.7393 4.0735
3.5175 8.1660 4.0735
```


Record 4
Computed PXRD pattern
Compound: Y2Tm2Sc3
Radiation: Cu Kα (weighted mean of Kα1 and Kα2)
Structure: a cell relaxed with PBE

Top 12 peaks for 2θ = 10–90°, low angle first:
2θ/deg	I_rel
19.08	35
23.42	32
27.11	53
30.38	100
33.36	38
36.13	100
41.17	18
47.90	19
49.99	59
61.44	38
64.96	27
75.03	20

Structure:
```
Y2Tm2Sc3
1.0
-4.6515 4.6515 4.6515
4.6515 -4.6515 4.6515
4.6515 4.6515 -4.6515
Y Tm Sc
4 4 6
Cartesian
6.1318 -1.4803 1.4803
1.4803 6.1318 -1.4803
3.1712 3.1712 3.1712
-1.4803 1.4803 6.1318
4.2459 0.4056 -0.4056
0.4056 0.4056 0.4056
0.4056 -0.4056 4.2459
-0.4056 4.2459 0.4056
6.9773 1.8133 0.0000
2.8383 0.0000 2.3258
2.3258 2.8383 0.0000
0.0000 2.3258 2.8383
1.8133 0.0000 6.9773
0.0000 6.9773 1.8133
```